Structure and theoretical X-ray powder pattern of Cu3GeP2O10 (a DFT-relaxed cell (PBE, the Materials Project); Cu Kα (weighted mean of Kα1 and Kα2)).
Neutral-atom scattering factors, no anomalous dispersion.

Principal peaks in the range 2θ from 5° to 70°, sorted by position:
hkl	2θ (°)	d (Å)	Rel. int.
1 0 0	19.49	4.555	12
1 0 -2	23.74	3.748	14
1 1 1	25.97	3.430	15
1 2 0	28.92	3.088	100
1 0 -3	30.54	2.927	51
1 1 2	32.32	2.770	20
0 3 1	33.40	2.683	15
0 2 3	35.81	2.508	27
0 1 4	39.91	2.259	11
2 2 -2	45.32	2.001	13
2 3 2	59.25	1.560	22
3 3 -1	68.95	1.362	9

Atomic structure:
Cell lengths 4.693, 8.400, 9.661 Å; angles 90.00, 103.89, 90.00 degrees
Space group P2_1/m (No. 11)
Inequivalent atoms, fractional coordinates:
Cu 0.000 0.000 0.000 x2
Cu 0.053 0.065 0.334 x4
Ge 0.316 0.250 0.823 x2
P 0.404 0.750 0.456 x2
P 0.500 0.250 0.132 x2
O 0.115 0.074 0.826 x4
O 0.211 0.750 0.750 x2
O 0.229 0.599 0.469 x4
O 0.301 0.250 0.428 x2
O 0.323 0.098 0.139 x4
O 0.394 0.750 0.014 x2
O 0.475 0.750 0.305 x2